[1]
This entry pairs a crystal structure of TmH3O3 with its simulated powder XRD pattern. Radiation: CuKα. Structure: a cell relaxed with GGA-PBE.
Neutral-atom scattering factors, no anomalous dispersion.

Main lines, in order of falling intensity (10° ≤ 2θ ≤ 90°):
2theta	Rel. int.
16.88	100
16.65	53
29.21	34
34.62	33
33.72	32
33.21	31
16.78	27
23.47	22
45.38	20
44.42	19
24.12	19
46.63	18

```
56
Lattice="10.5187 0.0000 0.0000 0.0000 6.1622 0.0000 -9.9516 0.0000 10.5661" Properties=species:S:1:pos:R:3 pbc="T T T"
Tm 0.0732 0.1581 1.7509
Tm -4.9026 2.9229 7.0340
Tm 0.1698 3.3025 3.5114
Tm -4.8061 5.9407 8.7945
Tm 5.3731 0.2214 1.7717
Tm 0.3973 2.8596 7.0547
Tm 5.4696 3.2392 3.5321
Tm 0.4938 6.0040 8.8152
H -2.8772 1.4000 3.1359
H -7.8530 1.6811 8.4189
H -3.7895 0.4406 6.2642
H 1.1863 2.6404 0.9812
H -2.8300 3.8667 5.2941
H 2.1458 5.3766 0.0111
H -1.1561 0.9177 4.2336
H -6.1320 2.1634 9.5166
H 4.0794 4.3548 0.3659
H -0.8964 4.8884 5.6490
H -1.7416 0.9421 7.2592
H 3.2342 2.1389 1.9761
H -2.6671 4.0232 8.5900
H 2.3087 5.2200 3.3070
H 1.4634 1.2738 4.9171
H -3.5124 1.8073 10.2002
H 6.6990 3.9987 1.0495
H 1.7232 5.2445 6.3325
H -1.5787 0.7856 10.5551
H 3.3971 2.2955 5.2720
H -0.6192 3.5217 9.5849
H 4.3566 5.7215 4.3019
H 8.4201 4.4811 2.1472
H 3.4443 4.7622 7.4303
O -1.1177 4.5174 2.2458
O -6.0935 4.7258 7.5288
O -3.8053 3.7649 5.2879
O 1.1705 5.4784 0.0048
O -1.0207 1.3655 3.3788
O -5.9966 1.7155 8.6618
O -3.7863 0.9198 7.1161
O 1.1895 2.1613 1.8330
O -0.8328 3.9349 5.4511
O 4.1430 5.3083 0.1680
O -3.6497 4.0414 8.5673
O 1.3261 5.2018 3.2842
O -0.7591 0.9603 7.2819
O 4.2168 2.1208 1.9989
O -3.5759 0.8539 10.3981
O 1.3999 2.2272 5.1150
O -0.6224 4.0009 8.7331
O 4.3534 5.2424 3.4500
O 6.5636 4.4466 1.9043
O 1.5878 4.7966 7.1874
O -0.6034 0.6838 10.5613
O 4.3724 2.3973 5.2782
O 6.6606 1.4363 3.0373
O 1.6848 1.6447 8.3203
```

[2]
This entry pairs a crystal structure of Pu4ZrC5 with its simulated powder XRD pattern. Radiation: CuKα. Structure: a cell relaxed with GGA-PBE.
Neutral-atom scattering factors, no anomalous dispersion.

Main lines, in order of falling intensity (10° ≤ 2θ ≤ 90°):
2theta	Rel. int.
31.59	100
36.53	84
31.22	34
62.68	30
52.38	30
52.86	29
65.96	15
62.89	15
62.25	15
89.36	14
88.60	14
86.59	13

```
10
Lattice="1.7321 1.0000 14.3240 -1.7321 1.0000 14.3240 0.0000 -2.0001 14.3240" Properties=species:S:1:pos:R:3 pbc="T T T"
Pu 0.0000 0.0000 4.3771
Pu 0.0000 0.0000 12.8864
Pu 0.0000 0.0000 30.0856
Pu 0.0000 0.0000 38.5949
Zr 0.0000 0.0000 21.4860
C 0.0000 0.0000 0.0000
C 0.0000 0.0000 8.5419
C 0.0000 0.0000 17.2198
C 0.0000 0.0000 25.7521
C 0.0000 0.0000 34.4300
```

[3]
This entry pairs a crystal structure of Na3Ca2BiO6 with its simulated powder XRD pattern. Radiation: CuKα. Structure: a cell relaxed with GGA-PBE.
Neutral-atom scattering factors, no anomalous dispersion.

Main lines, in order of falling intensity (10° ≤ 2θ ≤ 90°):
2theta	Rel. int.
16.50	100
37.64	59
36.87	46
20.23	38
53.72	38
32.13	31
32.33	30
27.28	29
20.70	28
17.57	27
30.82	17
27.72	16

```
24
Lattice="5.9407 0.0000 0.0000 -2.0597 5.5722 0.0000 -1.9405 -2.7861 10.0930" Properties=species:S:1:pos:R:3 pbc="T T T"
Na 0.0000 0.0000 0.0000
Na -1.0611 2.7898 1.5787
Na 0.0570 0.0129 3.3681
Na -0.0114 -0.0229 6.6026
Na 2.9926 0.0437 5.1124
Na 3.0071 -0.0471 8.3986
Ca -0.9825 2.7896 5.0076
Ca 0.0504 -0.0372 10.0268
Ca 3.0102 0.0250 1.6822
Ca 1.9536 2.8316 6.7778
Bi -1.0331 2.7498 8.4201
Bi 1.9733 2.7606 3.3016
O -1.9297 1.5098 6.8133
O -0.6978 -1.5720 8.4072
O -1.8843 1.5046 9.9856
O 1.1283 1.4811 1.7358
O 0.2104 4.0591 3.3353
O 1.0744 1.5881 4.8781
O 1.9473 -1.5474 6.8731
O 0.7300 1.5606 8.3659
O 1.8391 -1.5326 9.9378
O 2.7552 4.0290 1.7819
O 3.7890 1.5390 3.3318
O 2.8742 4.0517 4.8788
```

[4]
This entry pairs a crystal structure of Al2OsRu with its simulated powder XRD pattern. Radiation: CuKα. Structure: a cell relaxed with GGA-PBE.
Neutral-atom scattering factors, no anomalous dispersion.

Main lines, in order of falling intensity (10° ≤ 2θ ≤ 90°):
2theta	Rel. int.
13.38	100
22.56	27
18.07	23
26.96	19
11.22	15
39.15	14
39.79	13
32.64	11
58.89	10
55.17	10
44.02	10
44.43	10

```
4
Lattice="-1.1498 4.9086 6.6155 1.1498 -4.9086 6.6155 1.1498 4.9086 -6.6155" Properties=species:S:1:pos:R:3 pbc="T T T"
Al 0.0000 2.4438 0.0000
Al 0.0000 7.3734 0.0000
Os 0.0000 0.0000 0.0000
Ru 0.0000 4.9086 0.0000
```

[5]
This entry pairs a crystal structure of ErGe2Os with its simulated powder XRD pattern. Radiation: CuKα. Structure: a cell relaxed with GGA-PBE.
Neutral-atom scattering factors, no anomalous dispersion.

Main lines, in order of falling intensity (10° ≤ 2θ ≤ 90°):
2theta	Rel. int.
38.20	100
36.20	68
40.30	43
37.79	35
35.12	31
43.27	31
64.46	30
21.25	28
62.36	15
76.00	14
44.62	11
74.74	10

```
48
Lattice="9.6648 0.0000 0.0000 0.0000 10.5985 0.0000 0.0000 0.0000 8.3635" Properties=species:S:1:pos:R:3 pbc="T T T"
Er 1.5872 1.8741 0.0000
Er 1.7084 4.7617 2.0496
Er 1.7084 4.7617 6.3139
Er 3.1240 10.0610 2.0496
Er 3.1240 10.0610 6.3139
Er 3.2452 7.1734 0.0000
Er 6.4196 3.4251 0.0000
Er 6.5408 0.5375 2.0496
Er 6.5408 0.5375 6.3139
Er 7.9564 5.8368 2.0496
Er 7.9564 5.8368 6.3139
Er 8.0776 8.7244 0.0000
Ge 0.3560 6.5604 0.0000
Ge 0.4389 6.5525 4.1818
Ge 1.2313 9.5725 4.1818
Ge 1.2527 9.5272 0.0000
Ge 1.5280 1.9017 2.9144
Ge 1.5280 1.9017 5.4492
Ge 3.3044 7.2009 2.9144
Ge 3.3044 7.2009 5.4492
Ge 3.5797 4.2280 0.0000
Ge 3.6011 4.2732 4.1818
Ge 4.3935 1.2533 4.1818
Ge 4.4764 1.2611 0.0000
Ge 5.1884 9.3374 0.0000
Ge 5.2713 9.3452 4.1818
Ge 6.0637 6.3253 4.1818
Ge 6.0851 6.3705 0.0000
Ge 6.3604 3.3976 2.9144
Ge 6.3604 3.3976 5.4492
Ge 8.1368 8.6968 2.9144
Ge 8.1368 8.6968 5.4492
Ge 8.4121 1.0713 0.0000
Ge 8.4335 1.0260 4.1818
Ge 9.2259 4.0460 4.1818
Ge 9.3088 4.0382 0.0000
Os 0.0000 0.0000 2.0851
Os 0.0000 0.0000 6.2785
Os 0.8572 7.8234 2.0976
Os 0.8572 7.8234 6.2659
Os 3.9752 2.5242 2.0976
Os 3.9752 2.5242 6.2659
Os 4.8324 5.2993 2.0851
Os 4.8324 5.2993 6.2785
Os 5.6896 8.0743 2.0976
Os 5.6896 8.0743 6.2659
Os 8.8076 2.7751 2.0976
Os 8.8076 2.7751 6.2659
```